Calculated powder X-ray diffraction pattern
Compound: LiLuIn2
Radiation: CuKα
Structure: a cell relaxed with PBE

Most intense lines, 5 to 70 degrees two-theta, in order of rising 2θ:
2theta	intensity
21.37	38.9
24.73	2.4
35.26	100.0
41.60	21.1
50.71	17.6
55.64	9.1
63.27	35.7
67.60	6.8

Structural model:
```
data_LiLuIn2
_chemical_formula_sum 'Li4 Lu4 In8'
_cell_length_a 7.2004
_cell_length_b 7.2004
_cell_length_c 7.2004
_cell_angle_alpha 90.00
_cell_angle_beta 90.00
_cell_angle_gamma 90.00
_symmetry_space_group_name_H-M 'P 1'
_symmetry_Int_Tables_number 1
_symmetry_space_group_name_Hall 'P 1'
loop_
_atom_site_label
_atom_site_fract_x
_atom_site_fract_y
_atom_site_fract_z
Li1 0.0000 0.0000 0.0000
Li2 0.0000 0.5000 0.5000
Li3 0.5000 0.0000 0.5000
Li4 0.5000 0.5000 0.0000
Lu1 0.0000 0.0000 0.5000
Lu2 0.0000 0.5000 0.0000
Lu3 0.5000 0.0000 0.0000
Lu4 0.5000 0.5000 0.5000
In1 0.2500 0.2500 0.2500
In2 0.2500 0.2500 0.7500
In3 0.2500 0.7500 0.2500
In4 0.2500 0.7500 0.7500
In5 0.7500 0.2500 0.2500
In6 0.7500 0.2500 0.7500
In7 0.7500 0.7500 0.2500
In8 0.7500 0.7500 0.7500
```

***

Calculated powder X-ray diffraction pattern
Compound: Li2LuIn
Radiation: CuKα
Structure: a cell relaxed with PBE

Most intense lines, 5 to 70 degrees two-theta, in order of rising 2θ:
2theta	intensity
22.73	7.4
26.31	100.0
37.55	90.7
44.34	4.2
46.43	28.7
54.15	15.7
61.17	37.5
67.75	31.7

Structural model:
```
data_Li2LuIn
_chemical_formula_sum 'Li8 Lu4 In4'
_cell_length_a 6.7754
_cell_length_b 6.7754
_cell_length_c 6.7754
_cell_angle_alpha 90.00
_cell_angle_beta 90.00
_cell_angle_gamma 90.00
_symmetry_space_group_name_H-M 'P 1'
_symmetry_Int_Tables_number 1
_symmetry_space_group_name_Hall 'P 1'
loop_
_atom_site_label
_atom_site_fract_x
_atom_site_fract_y
_atom_site_fract_z
Li1 0.2500 0.2500 0.2500
Li2 0.2500 0.2500 0.7500
Li3 0.2500 0.7500 0.2500
Li4 0.2500 0.7500 0.7500
Li5 0.7500 0.2500 0.2500
Li6 0.7500 0.2500 0.7500
Li7 0.7500 0.7500 0.2500
Li8 0.7500 0.7500 0.7500
Lu1 0.0000 0.0000 0.0000
Lu2 0.0000 0.5000 0.5000
Lu3 0.5000 0.0000 0.5000
Lu4 0.5000 0.5000 0.0000
In1 0.0000 0.0000 0.5000
In2 0.0000 0.5000 0.0000
In3 0.5000 0.0000 0.0000
In4 0.5000 0.5000 0.5000
```

***

Calculated powder X-ray diffraction pattern
Compound: LiMgIn2
Radiation: CuKα
Structure: a cell relaxed with PBE

Most intense lines, 5 to 70 degrees two-theta, in order of rising 2θ:
2theta	intensity
21.47	70.4
24.84	0.8
35.41	100.0
41.79	37.2
50.95	17.2
55.90	15.3
63.58	34.5
67.94	11.2

Structural model:
```
data_LiMgIn2
_chemical_formula_sum 'Li4 Mg4 In8'
_cell_length_a 7.1693
_cell_length_b 7.1693
_cell_length_c 7.1693
_cell_angle_alpha 90.00
_cell_angle_beta 90.00
_cell_angle_gamma 90.00
_symmetry_space_group_name_H-M 'P 1'
_symmetry_Int_Tables_number 1
_symmetry_space_group_name_Hall 'P 1'
loop_
_atom_site_label
_atom_site_fract_x
_atom_site_fract_y
_atom_site_fract_z
Li1 0.0000 0.0000 0.0000
Li2 0.0000 0.5000 0.5000
Li3 0.5000 0.0000 0.5000
Li4 0.5000 0.5000 0.0000
Mg1 0.2500 0.2500 0.2500
Mg2 0.2500 0.7500 0.7500
Mg3 0.7500 0.2500 0.7500
Mg4 0.7500 0.7500 0.2500
In1 0.0000 0.0000 0.5000
In2 0.0000 0.5000 0.0000
In3 0.2500 0.2500 0.7500
In4 0.2500 0.7500 0.2500
In5 0.5000 0.0000 0.0000
In6 0.5000 0.5000 0.5000
In7 0.7500 0.2500 0.2500
In8 0.7500 0.7500 0.7500
```